# BaAgN2
Theoretical PXRD pattern, Cu Ka. Input: the GGA-PBE geometry in Alexandria.
Kinematic intensities with the Lorentz-polarization factor, no thermal factor.

Principal peaks in the range 2θ = 15–90°, by angle:
Position (°2θ)  I (rel.)
28.44  100
32.53  14
33.17  28
47.14  27
47.61  12
55.56  15
56.39  28
58.85  11

a b c (Å): 6.701 6.701 6.701
angles (deg): 132.46 132.46 69.51
Element x y z (fractional)
Ba 0.000 0.000 0.000
Ba 0.750 0.250 0.500
Ag 0.250 0.750 0.500
Ag 0.500 0.500 0.000
N 0.221 0.625 0.096
N 0.375 0.471 0.596
N 0.529 0.125 0.904
N 0.875 0.779 0.404



# Ba2AgN
Theoretical PXRD pattern, Cu Ka. Input: the GGA-PBE geometry in Alexandria.
Kinematic intensities with the Lorentz-polarization factor, no thermal factor.

Principal peaks in the range 2θ = 15–90°, by angle:
Position (°2θ)  I (rel.)
25.34  39
28.94  88
30.91  100
32.28  32
44.19  47
54.90  19
55.78  39
73.03  16

a b c (Å): 8.649 8.649 8.649
angles (deg): 27.41 27.41 27.41
Element x y z (fractional)
Ba 0.000 0.000 0.000
Ba 0.213 0.213 0.213
Ag 0.440 0.440 0.440
N 0.607 0.607 0.607



# Ba6Tl2AgN
Theoretical PXRD pattern, Cu Ka. Input: the GGA-PBE geometry in Alexandria.
Kinematic intensities with the Lorentz-polarization factor, no thermal factor.

Principal peaks in the range 2θ = 15–90°, by angle:
Position (°2θ)  I (rel.)
24.95  49
25.40  81
25.56  100
26.33  40
30.12  71
30.31  60
33.81  49
37.63  41

a b c (Å): 8.162 8.642 14.224
angles (deg): 90.00 123.97 90.00
Element x y z (fractional)
Ba 0.128 0.019 0.226
Ba 0.128 0.481 0.726
Ba 0.215 0.722 0.046
Ba 0.215 0.778 0.546
Ba 0.332 0.175 0.051
Ba 0.332 0.325 0.551
Ba 0.668 0.675 0.449
Ba 0.668 0.825 0.949
Ba 0.785 0.222 0.454
Ba 0.785 0.278 0.954
Ba 0.872 0.519 0.274
Ba 0.872 0.981 0.774
Tl 0.277 0.076 0.748
Tl 0.277 0.424 0.248
Tl 0.723 0.576 0.752
Tl 0.723 0.924 0.252
Ag 0.500 0.000 0.500
Ag 0.500 0.500 0.000
N 0.000 0.000 0.000
N 0.000 0.500 0.500



# BaNa4Ag2
Theoretical PXRD pattern, Cu Ka. Input: the GGA-PBE geometry in Alexandria.
Kinematic intensities with the Lorentz-polarization factor, no thermal factor.

Principal peaks in the range 2θ = 15–90°, by angle:
Position (°2θ)  I (rel.)
26.84  100
29.14  34
29.72  73
32.86  38
36.68  33
37.65  25
37.89  24
40.83  22

a b c (Å): 10.269 10.269 4.749
angles (deg): 90.00 90.00 153.09
Element x y z (fractional)
Ba 0.000 0.000 0.000
Na 0.174 0.826 0.500
Na 0.326 0.674 0.000
Na 0.674 0.326 0.000
Na 0.826 0.174 0.500
Ag 0.430 0.570 0.500
Ag 0.570 0.430 0.500



# BaNa4Ag4
Theoretical PXRD pattern, Cu Ka. Input: the GGA-PBE geometry in Alexandria.
Kinematic intensities with the Lorentz-polarization factor, no thermal factor.

Principal peaks in the range 2θ = 15–90°, by angle:
Position (°2θ)  I (rel.)
19.89  32
27.16  75
30.40  30
32.95  37
34.69  100
35.72  70
42.88  29
45.86  26

a b c (Å): 8.395 8.395 6.769
angles (deg): 90.00 90.00 90.00
Element x y z (fractional)
Ba 0.250 0.750 0.250
Ba 0.750 0.250 0.750
Na 0.134 0.134 0.000
Na 0.134 0.366 0.500
Na 0.366 0.134 0.500
Na 0.366 0.366 0.000
Na 0.634 0.634 0.000
Na 0.634 0.866 0.500
Na 0.866 0.634 0.500
Na 0.866 0.866 0.000
Ag 0.084 0.584 0.843
Ag 0.084 0.916 0.657
Ag 0.416 0.584 0.657
Ag 0.416 0.916 0.843
Ag 0.584 0.084 0.157
Ag 0.584 0.416 0.343
Ag 0.916 0.084 0.343
Ag 0.916 0.416 0.157



# BaNa2Ag4
Theoretical PXRD pattern, Cu Ka. Input: the GGA-PBE geometry in Alexandria.
Kinematic intensities with the Lorentz-polarization factor, no thermal factor.

Principal peaks in the range 2θ = 15–90°, by angle:
Position (°2θ)  I (rel.)
21.72  28
25.27  36
29.73  100
31.26  37
33.77  34
37.14  72
37.41  39
58.29  37

a b c (Å): 10.311 10.311 10.311
angles (deg): 156.58 153.03 36.01
Element x y z (fractional)
Ba 0.000 0.000 0.000
Na 0.308 0.808 0.500
Na 0.692 0.192 0.500
Ag 0.148 0.648 0.500
Ag 0.427 0.427 0.000
Ag 0.573 0.573 0.000
Ag 0.852 0.352 0.500



# BaNa6Ag2
Theoretical PXRD pattern, Cu Ka. Input: the GGA-PBE geometry in Alexandria.
Kinematic intensities with the Lorentz-polarization factor, no thermal factor.

Principal peaks in the range 2θ = 15–90°, by angle:
Position (°2θ)  I (rel.)
26.40  60
27.28  87
27.71  60
29.79  100
33.22  79
37.68  63
39.28  54
51.10  45

a b c (Å): 4.774 4.774 13.075
angles (deg): 90.00 90.00 90.00
Element x y z (fractional)
Ba 0.000 0.000 0.000
Na 0.000 0.000 0.500
Na 0.000 0.500 0.269
Na 0.000 0.500 0.731
Na 0.500 0.000 0.269
Na 0.500 0.000 0.731
Na 0.500 0.500 0.500
Ag 0.500 0.500 0.107
Ag 0.500 0.500 0.893



# Ba2Na16Ag
Theoretical PXRD pattern, Cu Ka. Input: the GGA-PBE geometry in Alexandria.
Kinematic intensities with the Lorentz-polarization factor, no thermal factor.

Principal peaks in the range 2θ = 15–90°, by angle:
Position (°2θ)  I (rel.)
21.13  55
25.72  96
26.48  47
29.79  100
29.93  97
30.45  38
40.20  39
43.06  57

a b c (Å): 9.094 9.094 9.094
angles (deg): 82.54 82.54 82.54
Element x y z (fractional)
Ba 0.000 0.000 0.000
Ba 0.333 0.333 0.333
Na 0.011 0.011 0.514
Na 0.011 0.514 0.011
Na 0.187 0.651 0.651
Na 0.313 0.313 0.812
Na 0.313 0.812 0.313
Na 0.365 0.661 0.959
Na 0.365 0.959 0.661
Na 0.514 0.011 0.011
Na 0.651 0.187 0.651
Na 0.651 0.651 0.187
Na 0.661 0.365 0.959
Na 0.661 0.959 0.365
Na 0.735 0.735 0.735
Na 0.812 0.313 0.313
Na 0.959 0.365 0.661
Na 0.959 0.661 0.365
Ag 0.537 0.537 0.537



Copy entry 4 word for word.
# BaNa4Ag2
Theoretical PXRD pattern, Cu Ka. Input: the GGA-PBE geometry in Alexandria.
Kinematic intensities with the Lorentz-polarization factor, no thermal factor.

Principal peaks in the range 2θ = 15–90°, by angle:
Position (°2θ)  I (rel.)
26.84  100
29.14  34
29.72  73
32.86  38
36.68  33
37.65  25
37.89  24
40.83  22

a b c (Å): 10.269 10.269 4.749
angles (deg): 90.00 90.00 153.09
Element x y z (fractional)
Ba 0.000 0.000 0.000
Na 0.174 0.826 0.500
Na 0.326 0.674 0.000
Na 0.674 0.326 0.000
Na 0.826 0.174 0.500
Ag 0.430 0.570 0.500
Ag 0.570 0.430 0.500



- Number 5 is which compound?
  BaNa4Ag4